For Mg6CuC, a crystal structure in the Materials Project, relaxed with GGA-PBE gives the calculated powder XRD pattern in this record (Cu Kα (weighted mean of Kα1 and Kα2)).
Intensities are scaled so that the largest is 100.

The 10 most intense peaks (15° ≤ 2θ ≤ 90°), low angle first:
2θ/deg  d (Å)  Rel. int.
17.65  5.025  36
28.80  3.100  13
33.62  2.666  13
34.10  2.629  19
35.74  2.513  22
38.22  2.355  100
38.72  2.326  42
42.95  2.106  20
44.33  2.043  13
51.99  1.759  16

Cell and atoms:
a = 3.5179 Å, b = 6.4767 Å, c = 6.4767 Å
α = 78.23°, β = 90.00°, γ = 90.00°
Atoms (fractional coordinates):
Mg (0.0000, 0.0000, 0.0000)
Mg (0.0000, 0.0721, 0.4150)
Mg (0.0000, 0.4150, 0.0721)
Mg (0.5000, 0.2847, 0.7255)
Mg (0.5000, 0.7255, 0.2847)
Mg (0.5000, 0.7559, 0.7559)
Cu (0.0000, 0.5643, 0.5643)
C (0.5000, 0.1413, 0.1413)

=====

For MgCuCO5, a crystal structure in the Materials Project, relaxed with GGA-PBE gives the calculated powder XRD pattern in this record (Cu Kα (weighted mean of Kα1 and Kα2)).
Intensities are scaled so that the largest is 100.

The 10 most intense peaks (15° ≤ 2θ ≤ 90°), low angle first:
2θ/deg  d (Å)  Rel. int.
23.74  3.747  38
24.97  3.567  93
28.27  3.157  21
28.48  3.134  76
33.53  2.673  100
35.30  2.542  37
35.45  2.532  41
37.83  2.378  32
48.17  1.889  32
53.02  1.727  23

Cell and atoms:
a = 3.4107 Å, b = 8.7016 Å, c = 12.5418 Å
α = 90.00°, β = 96.69°, γ = 90.00°
Atoms (fractional coordinates):
Mg (0.1025, 0.2211, 0.3931)
Mg (0.1025, 0.2789, 0.8931)
Mg (0.8975, 0.7211, 0.1069)
Mg (0.8975, 0.7789, 0.6069)
Cu (0.4874, 0.5058, 0.7166)
Cu (0.4874, 0.9942, 0.2166)
Cu (0.5126, 0.0058, 0.7834)
Cu (0.5126, 0.4942, 0.2834)
C (0.1298, 0.2248, 0.6368)
C (0.1298, 0.2752, 0.1368)
C (0.8702, 0.7248, 0.8632)
C (0.8702, 0.7752, 0.3632)
O (0.1070, 0.1241, 0.1374)
O (0.1070, 0.3759, 0.6374)
O (0.1233, 0.1553, 0.7307)
O (0.1233, 0.3447, 0.2307)
O (0.1305, 0.1526, 0.5507)
O (0.1305, 0.3474, 0.0507)
O (0.3929, 0.6424, 0.6036)
O (0.3929, 0.8576, 0.1036)
O (0.4224, 0.6094, 0.1618)
O (0.4224, 0.8906, 0.6618)
O (0.5776, 0.1094, 0.3382)
O (0.5776, 0.3906, 0.8382)
O (0.6071, 0.1424, 0.8964)
O (0.6071, 0.3576, 0.3964)
O (0.8695, 0.6526, 0.9493)
O (0.8695, 0.8474, 0.4493)
O (0.8767, 0.6553, 0.7693)
O (0.8767, 0.8447, 0.2693)
O (0.8930, 0.6241, 0.3626)
O (0.8930, 0.8759, 0.8626)

=====

For CuC4N4O8, a crystal structure in the Materials Project, relaxed with GGA-PBE gives the calculated powder XRD pattern in this record (Cu Kα (weighted mean of Kα1 and Kα2)).
Intensities are scaled so that the largest is 100.

The 10 most intense peaks (15° ≤ 2θ ≤ 90°), low angle first:
2θ/deg  d (Å)  Rel. int.
15.98  5.546  33
17.45  5.081  52
17.59  5.043  100
18.66  4.755  21
22.06  4.030  33
23.85  3.731  24
25.66  3.471  100
25.83  3.449  29
26.95  3.308  26
37.18  2.418  26

Cell and atoms:
a = 7.5340 Å, b = 10.1624 Å, c = 11.1082 Å
α = 90.00°, β = 98.02°, γ = 90.00°
Atoms (fractional coordinates):
Cu (0.0000, 0.0000, 0.0000)
Cu (0.0000, 0.5000, 0.5000)
C (0.0656, 0.1849, 0.3081)
C (0.0656, 0.3151, 0.8081)
C (0.3870, 0.0268, 0.6660)
C (0.3870, 0.4732, 0.1660)
C (0.6130, 0.5268, 0.8340)
C (0.6130, 0.9732, 0.3340)
C (0.9344, 0.6849, 0.1919)
C (0.9344, 0.8151, 0.6919)
N (0.2812, 0.0300, 0.5520)
N (0.2812, 0.4700, 0.0520)
N (0.3407, 0.1429, 0.6018)
N (0.3407, 0.3571, 0.1018)
N (0.6593, 0.6429, 0.8982)
N (0.6593, 0.8571, 0.3982)
N (0.7188, 0.5300, 0.9480)
N (0.7188, 0.9700, 0.4480)
O (0.0373, 0.0889, 0.2493)
O (0.0373, 0.4111, 0.7493)
O (0.0944, 0.2194, 0.8669)
O (0.0944, 0.2806, 0.3669)
O (0.2088, 0.5767, 0.5111)
O (0.2088, 0.9233, 0.0111)
O (0.4610, 0.5319, 0.2521)
O (0.4610, 0.9681, 0.7521)
O (0.5390, 0.0319, 0.2479)
O (0.5390, 0.4681, 0.7479)
O (0.7912, 0.0767, 0.9889)
O (0.7912, 0.4233, 0.4889)
O (0.9056, 0.7194, 0.6331)
O (0.9056, 0.7806, 0.1331)
O (0.9627, 0.5889, 0.2507)
O (0.9627, 0.9111, 0.7507)